[1]
CaAl2B2O7: theoretical X-ray diffraction stick pattern (CuKα), based on a DFT-relaxed cell (GGA-PBE, Alexandria).

Structural model:
Cell: 15.9740 15.9740 15.9740 Å, 17.51 17.51 17.51°
Fractional positions:
Ca1 0.0000 0.0000 0.0000
Ca2 0.5000 0.5000 0.5000
Al1 0.2142 0.2142 0.2142
Al2 0.2858 0.2858 0.2858
Al3 0.7142 0.7142 0.7142
Al4 0.7858 0.7858 0.7858
B1 0.1341 0.1341 0.1341
B2 0.3659 0.3659 0.3659
B3 0.6341 0.6341 0.6341
B4 0.8659 0.8659 0.8659
O1 0.0635 0.4034 0.6279
O2 0.0966 0.4365 0.8721
O3 0.1279 0.9034 0.5635
O4 0.2500 0.2500 0.2500
O5 0.3721 0.9365 0.5966
O6 0.4034 0.6279 0.0635
O7 0.4365 0.8721 0.0966
O8 0.5635 0.1279 0.9034
O9 0.5966 0.3721 0.9365
O10 0.6279 0.0635 0.4034
O11 0.7500 0.7500 0.7500
O12 0.8721 0.0966 0.4365
O13 0.9034 0.5635 0.1279
O14 0.9365 0.5966 0.3721

The 6 most intense peaks (2θ from 5° to 70°), sorted by position:
| 2θ (°) | I/Imax |
| --- | --- |
| 11.25 | 100 |
| 22.41 | 48 |
| 22.62 | 35 |
| 26.00 | 66 |
| 34.07 | 68 |
| 43.66 | 32 |

=====

[2]
InPd: theoretical X-ray diffraction stick pattern (CuKα), based on a DFT-relaxed cell (GGA-PBE, Alexandria).

Structural model:
Cell: 8.3450 8.3450 4.5614 Å, 90.00 90.00 90.00°
Fractional positions:
In1 0.0000 0.2753 0.0000
In2 0.0000 0.7247 0.0000
In3 0.2247 0.5000 0.5000
In4 0.2753 0.0000 0.0000
In5 0.5000 0.2247 0.5000
In6 0.5000 0.7753 0.5000
In7 0.7247 0.0000 0.0000
In8 0.7753 0.5000 0.5000
Pd1 0.1713 0.1713 0.5000
Pd2 0.1713 0.8287 0.5000
Pd3 0.3287 0.3287 0.0000
Pd4 0.3287 0.6713 0.0000
Pd5 0.6713 0.3287 0.0000
Pd6 0.6713 0.6713 0.0000
Pd7 0.8287 0.1713 0.5000
Pd8 0.8287 0.8287 0.5000

The 6 most intense peaks (2θ from 5° to 70°), sorted by position:
| 2θ (°) | I/Imax |
| --- | --- |
| 21.29 | 19 |
| 37.88 | 100 |
| 39.51 | 30 |
| 43.86 | 27 |
| 46.15 | 20 |
| 62.34 | 16 |